# 1
Theoretical XRD peak list
Compound: NaEuNbInO6
Radiation: Cu Kα X-rays
Structure: a GGA-PBE-relaxed structure
Peak positions follow from Bragg's law for the DFT cell and can differ from measured ones.

Largest 6 diffraction maxima, most intense first, 10 to 90 degrees two-theta:
(2 2 0), 2θ = 30.65°, d 2.917, rel. 100; (4 2 2), 2θ = 54.48°, d 1.684, rel. 40; (4 0 0), 2θ = 43.89°, d 2.063, rel. 34; (1 1 1), 2θ = 18.63°, d 4.764, rel. 29; (6 4 2), 2θ = 88.73°, d 1.103, rel. 21; (4 4 0), 2θ = 63.82°, d 1.459, rel. 20

Atomic structure:
abc: 8.2507 8.2507 8.2507
angles: 90.00 90.00 90.00
Space group F-43m (No. 216)
Unique sites:
Na 0.0000 0.0000 0.0000 x4
Eu 0.0000 0.0000 0.5000 x4
Nb 0.2500 0.2500 0.2500 x4
In 0.2500 0.2500 0.7500 x4
O 0.0076 0.2500 0.2500 x24


# 2
Theoretical XRD peak list
Compound: EuNbInSnO6
Radiation: Cu Kα X-rays
Structure: a GGA-PBE-relaxed structure
Peak positions follow from Bragg's law for the DFT cell and can differ from measured ones.

Largest 6 diffraction maxima, most intense first, 10 to 90 degrees two-theta:
(2 2 0), 2θ = 31.18°, d 2.869, rel. 100; (4 2 2), 2θ = 55.48°, d 1.656, rel. 40; (4 0 0), 2θ = 44.67°, d 2.028, rel. 30; (4 4 0), 2θ = 65.02°, d 1.434, rel. 19; (6 2 0), 2θ = 73.87°, d 1.283, rel. 17; (4 4 4), 2θ = 82.33°, d 1.171, rel. 6

Atomic structure:
abc: 8.1140 8.1140 8.1140
angles: 90.00 90.00 90.00
Space group F-43m (No. 216)
Unique sites:
Eu 0.0000 0.0000 0.0000 x4
Nb 0.2500 0.2500 0.2500 x4
In 0.2500 0.2500 0.7500 x4
Sn 0.0000 0.0000 0.5000 x4
O 0.0076 0.2500 0.2500 x24


# 3
Theoretical XRD peak list
Compound: EuIn2Ni9
Radiation: Cu Kα X-rays
Structure: a GGA-PBE-relaxed structure
Peak positions follow from Bragg's law for the DFT cell and can differ from measured ones.

Largest 6 diffraction maxima, most intense first, 10 to 90 degrees two-theta:
(3 1 1), 2θ = 38.89°, d 2.316, rel. 100; (2 1 2), 2θ = 44.39°, d 2.041, rel. 72; (3 2 1), 2θ = 43.38°, d 2.086, rel. 38; (4 1 0), 2θ = 44.93°, d 2.017, rel. 31; (2 0 2), 2θ = 42.96°, d 2.105, rel. 28; (3 1 0), 2θ = 34.09°, d 2.630, rel. 27

Atomic structure:
abc: 8.3176 8.3176 4.8820
angles: 90.00 90.00 90.00
Space group P4/mbm (No. 127)
Unique sites:
Eu 0.0000 0.0000 0.0000 x2
In 0.1246 0.3754 0.0000 x4
Ni 0.0000 0.5000 0.5000 x2
Ni 0.0651 0.2099 0.5000 x8
Ni 0.1764 0.6764 0.2501 x8


# 4
Theoretical XRD peak list
Compound: EuIn4Ni
Radiation: Cu Kα X-rays
Structure: a GGA-PBE-relaxed structure
Peak positions follow from Bragg's law for the DFT cell and can differ from measured ones.

Largest 6 diffraction maxima, most intense first, 10 to 90 degrees two-theta:
(1 1 2), 2θ = 32.00°, d 2.796, rel. 100; (1 5 0), 2θ = 32.86°, d 2.726, rel. 64; (2 0 0), 2θ = 39.71°, d 2.270, rel. 38; (1 5 1), 2θ = 35.17°, d 2.552, rel. 28; (0 6 2), 2θ = 40.32°, d 2.237, rel. 24; (0 6 1), 2θ = 33.89°, d 2.645, rel. 24

Atomic structure:
abc: 4.5393 17.0413 7.2595
angles: 90.00 90.00 90.00
Space group Cmcm (No. 63)
Unique sites:
Eu 0.0000 0.1219 0.2500 x4
In 0.0000 0.0728 0.7500 x4
In 0.0000 0.3097 0.0487 x8
In 0.0000 0.5000 0.0000 x4
Ni 0.0000 0.2231 0.7500 x4